The following is a theoretical X-ray diffraction stick pattern of CeTh10Sc4. It was derived from the GGA-PBE geometry in Alexandria, using Cu Kα (weighted mean of Kα1 and Kα2).

Atomic structure:
```
CeTh10Sc4
1.0
-5.8591 5.8591 3.6675
5.8591 -5.8591 3.6675
5.8591 5.8591 -3.6675
Ce Th Sc
1 10 4
Direct
0.0000 0.0000 0.0000
0.0485 0.3515 0.9021
0.1463 0.0485 0.6970
0.2500 0.7500 0.5000
0.3515 0.4493 0.3030
0.4493 0.1463 0.0979
0.5507 0.8537 0.9021
0.6485 0.5507 0.6970
0.7500 0.2500 0.5000
0.8537 0.9515 0.3030
0.9515 0.6485 0.0979
0.2007 0.4017 0.6024
0.4017 0.7993 0.2010
0.5983 0.2007 0.7990
0.7993 0.5983 0.3976
```

The 10 most intense peaks (2θ from 10° to 90°), low angle first:
d = 3.706 Å, 2θ = 24.02°, I 68.7; d = 3.668 Å, 2θ = 24.27°, I 33.5; d = 2.620 Å, 2θ = 34.22°, I 50.8; d = 2.607 Å, 2θ = 34.40°, I 100.0; d = 2.132 Å, 2θ = 42.40°, I 32.2; d = 1.853 Å, 2θ = 49.17°, I 18.6; d = 1.657 Å, 2θ = 55.45°, I 15.1; d = 1.654 Å, 2θ = 55.57°, I 15.1; d = 1.510 Å, 2θ = 61.39°, I 38.3; d = 1.502 Å, 2θ = 61.74°, I 18.9



The following is a theoretical X-ray diffraction stick pattern of CeThSc14. It was derived from the GGA-PBE geometry in Alexandria, using Cu Kα (weighted mean of Kα1 and Kα2).

Atomic structure:
```
CeThSc14
1.0
10.4683 0.0000 0.0000
0.0000 3.3664 5.7639
0.0000 -3.3664 5.7639
Ce Th Sc
1 1 14
Direct
0.0000 0.0000 0.0000
0.0000 0.5037 0.5037
0.0000 0.4947 0.9956
0.0000 0.9956 0.4947
0.2535 0.3295 0.3295
0.2547 0.8285 0.8285
0.2570 0.3278 0.8303
0.2570 0.8303 0.3278
0.5000 0.4971 0.4971
0.5000 0.4969 0.9983
0.5000 0.9969 0.9969
0.5000 0.9983 0.4969
0.7430 0.3278 0.8303
0.7430 0.8303 0.3278
0.7453 0.8285 0.8285
0.7465 0.3295 0.3295
```

The 10 most intense peaks (2θ from 10° to 90°), low angle first:
d = 5.764 Å, 2θ = 15.37°, I 17.2; d = 5.049 Å, 2θ = 17.56°, I 25.4; d = 3.877 Å, 2θ = 22.94°, I 16.7; d = 2.907 Å, 2θ = 30.76°, I 26.5; d = 2.617 Å, 2θ = 34.26°, I 34.3; d = 2.541 Å, 2θ = 35.32°, I 100.0; d = 2.525 Å, 2θ = 35.56°, I 44.9; d = 1.669 Å, 2θ = 55.03°, I 18.0; d = 1.496 Å, 2θ = 62.04°, I 18.4; d = 1.407 Å, 2θ = 66.45°, I 17.7



The following is a theoretical X-ray diffraction stick pattern of Ce4Th5Sc. It was derived from the GGA-PBE geometry in Alexandria, using Cu Kα (weighted mean of Kα1 and Kα2).

Atomic structure:
```
Ce4Th5Sc
1.0
3.4983 0.0000 0.0000
0.0000 3.4983 0.0000
0.0000 0.0000 23.9152
Ce Th Sc
4 5 1
Direct
0.0000 0.0000 0.1010
0.0000 0.0000 0.3023
0.0000 0.0000 0.6977
0.0000 0.0000 0.8990
0.5000 0.5000 0.0000
0.5000 0.5000 0.2017
0.5000 0.5000 0.4032
0.5000 0.5000 0.5968
0.5000 0.5000 0.7983
0.0000 0.0000 0.5000
```

The 10 most intense peaks (2θ from 10° to 90°), low angle first:
d = 4.783 Å, 2θ = 18.55°, I 7.7; d = 2.824 Å, 2θ = 31.69°, I 100.0; d = 2.474 Å, 2θ = 36.32°, I 35.0; d = 2.392 Å, 2θ = 37.61°, I 15.6; d = 1.749 Å, 2θ = 52.30°, I 12.5; d = 1.719 Å, 2θ = 53.28°, I 23.3; d = 1.487 Å, 2θ = 62.46°, I 29.3; d = 1.451 Å, 2θ = 64.20°, I 13.0; d = 1.412 Å, 2θ = 66.19°, I 12.2; d = 1.117 Å, 2θ = 87.32°, I 11.7



The following is a theoretical X-ray diffraction stick pattern of CeTh3Sc7. It was derived from the GGA-PBE geometry in Alexandria, using Cu Kα (weighted mean of Kα1 and Kα2).

Atomic structure:
```
CeTh3Sc7
1.0
6.7064 0.0000 0.0000
-3.3532 5.8079 0.0000
0.0000 0.0000 8.0561
Ce Th Sc
1 3 7
Direct
0.0000 0.0000 0.0000
0.1676 0.3351 0.3357
0.1676 0.8324 0.3357
0.6649 0.8324 0.3357
0.0004 0.5002 0.9991
0.3323 0.1662 0.6717
0.3333 0.6667 0.6761
0.4998 0.9996 0.9991
0.4998 0.5002 0.9991
0.8338 0.1662 0.6717
0.8338 0.6677 0.6717
```

The 10 most intense peaks (2θ from 10° to 90°), low angle first:
d = 8.056 Å, 2θ = 10.98°, I 50.2; d = 5.808 Å, 2θ = 15.26°, I 33.1; d = 4.711 Å, 2θ = 18.84°, I 24.9; d = 2.904 Å, 2θ = 30.79°, I 15.9; d = 2.732 Å, 2θ = 32.78°, I 100.0; d = 2.685 Å, 2θ = 33.37°, I 27.3; d = 2.356 Å, 2θ = 38.21°, I 65.1; d = 1.677 Å, 2θ = 54.75°, I 19.7; d = 1.655 Å, 2θ = 55.53°, I 22.6; d = 1.422 Å, 2θ = 65.65°, I 22.5